This entry pairs a crystal structure of Cu5PbBr12 with its calculated X-ray diffraction stick pattern. Radiation: Cu Kα (λ = 1.5418 Å). Structure: a crystal structure in Alexandria, relaxed with GGA-PBE.

Structural model:
abc: 6.2580 6.9900 13.5084
angles: 85.09 88.81 69.01
Positions (direct):
Cu 0.0000 0.0000 0.0000
Cu 0.1783 0.1277 0.4879
Cu 0.3333 0.3335 0.0001
Cu 0.6667 0.6665 0.9999
Cu 0.8217 0.8723 0.5121
Pb 0.5000 0.5000 0.5000
Br 0.0608 0.2767 0.8906
Br 0.0703 0.5926 0.6249
Br 0.1138 0.8377 0.3835
Br 0.2730 0.0563 0.1094
Br 0.3943 0.6096 0.8903
Br 0.4766 0.8807 0.6094
Br 0.5234 0.1193 0.3906
Br 0.6057 0.3904 0.1097
Br 0.7270 0.9437 0.8906
Br 0.8862 0.1623 0.6165
Br 0.9297 0.4074 0.3751
Br 0.9392 0.7233 0.1094

Most intense lines, 2θ from 10° to 90°, in order of falling intensity:
2theta	d (Å)	Rel. int.
13.16	6.729	100
32.02	2.795	42
28.39	3.144	33
26.67	3.343	24
24.39	3.649	22
42.81	2.113	20
31.66	2.826	18
50.56	1.805	17
43.82	2.066	16
34.91	2.570	15

***

This entry pairs a crystal structure of Cu2PbBr with its calculated X-ray diffraction stick pattern. Radiation: Cu Kα (λ = 1.5418 Å). Structure: a crystal structure in Alexandria, relaxed with GGA-PBE.

Structural model:
abc: 4.0407 3.5413 6.3444
angles: 90.00 90.60 90.00
Positions (direct):
Cu 0.0075 0.0000 0.1916
Cu 0.9925 0.0000 0.8084
Pb 0.5000 0.5000 0.0000
Br 0.0000 0.5000 0.5000

Most intense lines, 2θ from 10° to 90°, in order of falling intensity:
2theta	d (Å)	Rel. int.
13.96	6.344	100
38.09	2.363	96
36.50	2.462	83
36.69	2.450	76
33.65	2.663	60
26.27	3.392	49
26.02	3.424	45
44.87	2.020	36
48.37	1.882	27
48.82	1.866	25

***

This entry pairs a crystal structure of CuPb4Br with its calculated X-ray diffraction stick pattern. Radiation: Cu Kα (λ = 1.5418 Å). Structure: a crystal structure in Alexandria, relaxed with GGA-PBE.

Structural model:
abc: 6.4654 6.4654 6.4654
angles: 60.00 60.00 60.00
Positions (direct):
Cu 0.0000 0.0000 0.0000
Pb 0.1224 0.6259 0.6259
Pb 0.6259 0.1224 0.6259
Pb 0.6259 0.6259 0.1224
Pb 0.6259 0.6259 0.6259
Br 0.2500 0.2500 0.2500

Most intense lines, 2θ from 10° to 90°, in order of falling intensity:
2theta	d (Å)	Rel. int.
32.48	2.757	100
33.96	2.639	74
16.79	5.279	53
56.97	1.616	36
51.97	1.760	36
68.01	1.378	31
39.42	2.286	25
80.73	1.190	23
43.13	2.098	16
59.84	1.546	13